Record 1
Diffraction record for CrCl3O. The X-ray powder pattern is theoretical, not measured: it uses a DFT-relaxed cell (PBE+U, the Materials Project) and Cu Kα (λ = 1.5418 Å).

a b c (Å): 5.9560 14.5270 12.1601
angles (deg): 90.00 99.35 90.00
Space group P2_1/c (No. 14)
Inequivalent atoms, fractional coordinates:
Cr  0.0415  0.2021  0.2328
Cr  0.4453  0.0098  0.2792
Cl  0.0774  0.7254  0.6295
Cl  0.1419  0.0651  0.1449
Cl  0.2117  0.5258  0.1229
Cl  0.3056  0.6859  0.3603
Cl  0.3439  0.1467  0.3667
Cl  0.4278  0.0611  0.8570
O  0.1515  0.2220  0.6669
O  0.3320  0.5671  0.8423

Principal peaks in the range 10° ≤ 2θ ≤ 90°, by angle:
2theta	d (Å)	I_rel
14.25	6.214	47
14.77	5.999	100
19.43	4.569	75
22.93	3.878	49
35.16	2.553	51
36.16	2.484	37

Record 2
Diffraction record for CrClO. The X-ray powder pattern is theoretical, not measured: it uses a DFT-relaxed cell (PBE+U, the Materials Project) and Cu Kα (λ = 1.5418 Å).

a b c (Å): 3.2486 3.9399 8.5067
angles (deg): 90.00 90.00 90.00
Space group Pmmn (No. 59, origin choice 2)
Inequivalent atoms, fractional coordinates:
Cr  0.2500  0.2500  0.1010
Cl  0.2500  0.7500  0.6972
O  0.2500  0.7500  0.0488

Principal peaks in the range 10° ≤ 2θ ≤ 90°, by angle:
2theta	d (Å)	I_rel
10.40	8.507	100
24.91	3.575	42
34.75	2.582	31
37.40	2.404	11
42.31	2.136	17
58.98	1.566	11

Record 3
Diffraction record for Cr3Si3Pb10Cl2O24. The X-ray powder pattern is theoretical, not measured: it uses a DFT-relaxed cell (PBE+U, the Materials Project) and Cu Kα (λ = 1.5418 Å).

a b c (Å): 10.3150 7.4578 10.3588
angles (deg): 90.00 119.85 90.00
Space group Pm (No. 6)
Inequivalent atoms, fractional coordinates:
Cr  0.0000  0.0000  0.0000
Cr  0.0297  0.5000  0.6255
Cr  0.3732  0.5000  0.4090
Si  0.4307  0.0000  0.6490
Si  0.7916  0.0000  0.4455
Si  0.8161  0.5000  0.0582
Pb  0.0510  0.2369  0.3555
Pb  0.1502  0.0000  0.7603
Pb  0.1554  0.5000  0.0418
Pb  0.4454  0.5000  0.7956
Pb  0.4547  0.0000  0.2985
Pb  0.6357  0.0000  0.0091
Pb  0.6612  0.5000  0.2542
Pb  0.7182  0.2449  0.6898
Cl  0.4024  0.2541  0.0243
O  0.0013  0.5000  0.1374
O  0.0530  0.1799  0.9439
O  0.0666  0.0000  0.1842
O  0.1386  0.3198  0.6741
O  0.2472  0.0000  0.5467
O  0.2888  0.5000  0.5112
O  0.3157  0.3218  0.2978
O  0.5015  0.1778  0.7603
O  0.5224  0.0000  0.5526
O  0.5600  0.5000  0.5221
O  0.6792  0.1770  0.3940
O  0.7266  0.5000  0.8734
O  0.7719  0.3219  0.1254
O  0.8114  0.0000  0.9086
O  0.8928  0.0000  0.6304
O  0.9034  0.0000  0.3726
O  0.9217  0.5000  0.7023
O  0.9301  0.5000  0.4370

Principal peaks in the range 10° ≤ 2θ ≤ 90°, by angle:
2theta	d (Å)	I_rel
19.83	4.478	32
20.91	4.249	39
28.93	3.087	65
29.53	3.025	100
29.97	2.982	31
45.25	2.004	29

Record 4
Diffraction record for Rb2CrCl5O. The X-ray powder pattern is theoretical, not measured: it uses a DFT-relaxed cell (PBE+U, the Materials Project) and Cu Kα (λ = 1.5418 Å).

a b c (Å): 14.1521 10.1942 7.1388
angles (deg): 90.00 90.00 90.00
Space group Pnma (No. 62)
Inequivalent atoms, fractional coordinates:
Rb  0.1415  0.0015  0.1961
Cr  0.1012  0.7500  0.6906
Cl  0.0027  0.7500  0.9537
Cl  0.1097  0.5204  0.7065
Cl  0.2246  0.7500  0.4698
Cl  0.2330  0.7500  0.9242
O  0.0189  0.7500  0.5362

Principal peaks in the range 10° ≤ 2θ ≤ 90°, by angle:
2theta	d (Å)	I_rel
15.20	5.831	100
24.89	3.577	100
30.58	2.924	77
30.76	2.906	99
35.21	2.549	68
35.73	2.513	69

Record 5
Diffraction record for RbCrClO3. The X-ray powder pattern is theoretical, not measured: it uses a DFT-relaxed cell (PBE+U, the Materials Project) and Cu Kα (λ = 1.5418 Å).

a b c (Å): 8.2863 7.7648 8.2563
angles (deg): 90.00 90.71 90.00
Space group P2_1/c (No. 14)
Inequivalent atoms, fractional coordinates:
Rb  0.1851  0.1430  0.1341
Cr  0.2222  0.6255  0.1258
Cl  0.4453  0.7238  0.6386
O  0.0717  0.7396  0.6128
O  0.2066  0.5092  0.2889
O  0.2262  0.0000  0.4687

Principal peaks in the range 10° ≤ 2θ ≤ 90°, by angle:
2theta	d (Å)	I_rel
21.45	4.143	65
23.97	3.713	91
24.21	3.677	82
25.35	3.513	71
27.63	3.228	100
33.36	2.686	96

Record 6
Diffraction record for Cr3Se2ClO8. The X-ray powder pattern is theoretical, not measured: it uses a DFT-relaxed cell (PBE+U, the Materials Project) and Cu Kα (λ = 1.5418 Å).

a b c (Å): 7.9177 6.4149 10.0592
angles (deg): 90.00 90.66 90.00
Space group P2_1/m (No. 11)
Inequivalent atoms, fractional coordinates:
Cr  0.0000  0.0000  0.0000
Cr  0.0000  0.0000  0.5000
Cr  0.1983  0.2500  0.2496
Se  0.3543  0.2500  0.5569
Se  0.3580  0.2500  0.9549
Cl  0.1070  0.7500  0.1687
O  0.0390  0.2500  0.3967
O  0.0423  0.2500  0.1109
O  0.2234  0.0330  0.5748
O  0.2303  0.0358  0.9266
O  0.3850  0.2500  0.3883
O  0.3872  0.2500  0.1265

Principal peaks in the range 10° ≤ 2θ ≤ 90°, by angle:
2theta	d (Å)	I_rel
11.18	7.917	22
17.63	5.029	59
17.80	4.984	100
26.46	3.369	27
30.07	2.972	31
35.13	2.554	26

Record 7
Diffraction record for YCr3Se2ClO8. The X-ray powder pattern is theoretical, not measured: it uses a DFT-relaxed cell (PBE+U, the Materials Project) and Cu Kα (λ = 1.5418 Å).

a b c (Å): 6.5761 9.8123 7.1894
angles (deg): 90.00 90.00 90.00
Space group Pmmn (No. 59, origin choice 2)
Inequivalent atoms, fractional coordinates:
Y  0.2500  0.2500  0.2386
Cr  0.0000  0.0000  0.5000
Cr  0.2500  0.2500  0.7057
Se  0.2500  0.5614  0.9093
Cl  0.2500  0.7500  0.3516
O  0.0431  0.5890  0.7625
O  0.2500  0.1154  0.9283
O  0.2500  0.1160  0.4942

Principal peaks in the range 10° ≤ 2θ ≤ 90°, by angle:
2theta	d (Å)	I_rel
25.82	3.450	79
29.88	2.990	58
30.53	2.929	61
30.84	2.900	100
35.15	2.553	96
53.11	1.725	67

Record 8
Diffraction record for Sr2CrClO4. The X-ray powder pattern is theoretical, not measured: it uses a DFT-relaxed cell (PBE+U, the Materials Project) and Cu Kα (λ = 1.5418 Å).

a b c (Å): 6.6088 7.5586 11.5665
angles (deg): 90.00 90.00 90.00
Space group Pbcm (No. 57)
Inequivalent atoms, fractional coordinates:
Sr  0.1228  0.2500  0.0000
Sr  0.3634  0.5344  0.2500
Cr  0.3748  0.7500  0.0000
Cl  0.0149  0.6776  0.7500
O  0.2159  0.5761  0.0328
O  0.4666  0.2313  0.6186

Principal peaks in the range 10° ≤ 2θ ≤ 90°, by angle:
2theta	d (Å)	I_rel
19.42	4.570	65
28.22	3.163	100
30.92	2.892	68
33.41	2.682	50
43.27	2.091	43
48.08	1.892	65

Record 9
Diffraction record for Cs2FeH2Cl5O. The X-ray powder pattern is theoretical, not measured: it uses a DFT-relaxed cell (PBE+U, the Materials Project) and Cu Kα (λ = 1.5418 Å).

a b c (Å): 7.5584 17.9242 8.3213
angles (deg): 90.00 90.00 90.00
Space group Cmcm (No. 63)
Inequivalent atoms, fractional coordinates:
Cs  0.0000  0.0291  0.2500
Cs  0.0000  0.2528  0.7500
Fe  0.0000  0.3799  0.2500
H  0.0000  0.4665  0.6541
Cl  0.0000  0.2501  0.2500
Cl  0.2223  0.3894  0.0437
O  0.0000  0.4979  0.7500

Principal peaks in the range 10° ≤ 2θ ≤ 90°, by angle:
2theta	d (Å)	I_rel
18.93	4.687	34
21.36	4.161	35
21.76	4.084	97
29.29	3.049	61
30.95	2.889	56
31.99	2.797	100